Starting from a DFT-relaxed cell (PBE, the Materials Project), the X-ray diffraction stick pattern of Cs2Cu2Sb2Se5 was calculated for Cu Kα (weighted mean of Kα1 and Kα2).
Neutral-atom scattering factors, no anomalous dispersion.

Crystal structure
```
Cs2Cu2Sb2Se5
1.0
7.753 0.000 0.000
-1.995 8.698 0.000
-0.326 -0.406 10.425
Cs Cu Sb Se
4 4 4 10
Direct
0.235 0.443 0.387
0.236 0.304 0.906
0.764 0.696 0.094
0.765 0.557 0.613
0.097 0.992 0.612
0.372 0.863 0.569
0.628 0.137 0.431
0.903 0.008 0.388
0.301 0.860 0.882
0.316 0.922 0.261
0.684 0.078 0.739
0.699 0.140 0.118
0.013 0.116 0.186
0.073 0.804 0.424
0.245 0.684 0.088
0.357 0.658 0.719
0.418 0.155 0.612
0.582 0.845 0.388
0.643 0.342 0.281
0.755 0.316 0.912
0.927 0.196 0.576
0.987 0.884 0.814
```

Largest 6 diffraction maxima, by intensity, 10 to 80 degrees two-theta:
two_theta  I/Imax  (hkl)
27.23  100  0 2 2
10.18  74  0 1 0
23.53  68  2 0 0
28.96  52  2 -2 1
21.13  48  1 -2 0
30.29  42  1 1 -3